Calculated XRD peak list of Tm2ZnIn for Cu Kα, 1.54184 Å, from the GGA-PBE geometry in the Materials Project.
Kinematic intensities with the Lorentz-polarization factor, no thermal factor.

Largest 6 diffraction maxima, most intense first, 2θ = 15–90°:
two_theta, I_rel
34.97, 100
62.73, 36
50.30, 18
84.43, 16
73.88, 11
24.54, 10

Structure:
Lattice parameters (Å, degrees): 7.2564 7.2564 7.2564 90.00 90.00 90.00
Element x y z (fractional)
1 Tm 0.2500 0.2500 0.2500
2 Tm 0.2500 0.2500 0.7500
3 Tm 0.2500 0.7500 0.2500
4 Tm 0.2500 0.7500 0.7500
5 Tm 0.7500 0.2500 0.2500
6 Tm 0.7500 0.2500 0.7500
7 Tm 0.7500 0.7500 0.2500
8 Tm 0.7500 0.7500 0.7500
9 Zn 0.0000 0.0000 0.0000
10 Zn 0.0000 0.5000 0.5000
11 Zn 0.5000 0.0000 0.5000
12 Zn 0.5000 0.5000 0.0000
13 In 0.0000 0.0000 0.5000
14 In 0.0000 0.5000 0.0000
15 In 0.5000 0.0000 0.0000
16 In 0.5000 0.5000 0.5000